# 1
For Al2Tl2Br7, a crystal structure in Alexandria, relaxed with GGA-PBE gives the computed powder XRD pattern in this record (CuKα).
Lines closer than 0.1° are merged.

Structure:
a = 6.779 Å, b = 16.512 Å, c = 8.297 Å
α = 90.00°, β = 97.66°, γ = 90.00°
Space group P2_1/c (No. 14)
Symmetry-distinct sites (fractional):
Al 0.150 0.111 0.338 x4
Tl 0.378 0.648 0.599 x4
Br 0.000 0.000 0.500 x2
Br 0.086 0.711 0.267 x4
Br 0.281 0.057 0.107 x4
Br 0.414 0.179 0.504 x4

Main lines, sorted by position (10 to 90 degrees two-theta):
two_theta, d/Å, I_rel
18.9, 4.692, 67
19.2, 4.623, 92
25.3, 3.517, 34
26.2, 3.404, 26
26.9, 3.317, 100
27.8, 3.204, 25
29.4, 3.037, 25
32.0, 2.794, 24
34.3, 2.613, 25
34.8, 2.575, 29
37.5, 2.399, 29
39.4, 2.285, 24

***

# 2
For Pr5NdEr, a crystal structure in Alexandria, relaxed with GGA-PBE gives the computed powder XRD pattern in this record (CuKα).
Lines closer than 0.1° are merged.

Structure:
a = 13.599 Å, b = 8.869 Å, c = 5.965 Å
α = 90.00°, β = 115.92°, γ = 90.00°
Space group C2/m (No. 12)
Symmetry-distinct sites (fractional):
Pr 0.000 0.000 0.000 x2
Pr 0.000 0.324 0.500 x4
Pr 0.249 0.000 0.749 x4
Nd 0.000 0.000 0.500 x2
Er 0.000 0.500 0.000 x2

Main lines, sorted by position (10 to 90 degrees two-theta):
two_theta, d/Å, I_rel
14.5, 6.116, 100
17.9, 4.950, 63
20.0, 4.434, 76
23.1, 3.847, 40
26.1, 3.417, 54
29.2, 3.058, 96
30.0, 2.983, 90
33.4, 2.681, 56
33.8, 2.649, 67
35.7, 2.517, 35
42.3, 2.135, 70
45.3, 2.002, 60

***

# 3
For Dy2Ho3Th, a crystal structure in Alexandria, relaxed with GGA-PBE gives the computed powder XRD pattern in this record (CuKα).
Lines closer than 0.1° are merged.

Structure:
a = 11.197 Å, b = 5.021 Å, c = 14.167 Å
α = 90.00°, β = 108.36°, γ = 90.00°
Space group C2/m (No. 12)
Symmetry-distinct sites (fractional):
Dy 0.002 0.000 0.373 x4
Dy 0.003 0.000 0.127 x4
Ho 0.166 0.500 0.042 x4
Ho 0.168 0.500 0.791 x4
Ho 0.170 0.500 0.543 x4
Th 0.167 0.500 0.291 x4

Main lines, sorted by position (10 to 90 degrees two-theta):
two_theta, d/Å, I_rel
30.9, 2.894, 100
35.8, 2.508, 34
35.9, 2.503, 17
51.6, 1.772, 36
61.3, 1.512, 29
61.4, 1.510, 14
64.4, 1.447, 12
84.1, 1.150, 12
84.3, 1.149, 6
86.8, 1.122, 6
86.9, 1.121, 6
87.0, 1.120, 6

***

# 4
For U2PaC4, a crystal structure in Alexandria, relaxed with GGA-PBE gives the computed powder XRD pattern in this record (CuKα).
Lines closer than 0.1° are merged.

Structure:
a = 7.381 Å, b = 7.381 Å, c = 7.273 Å
α = 90.00°, β = 90.00°, γ = 90.00°
Space group I-42d (No. 122)
Symmetry-distinct sites (fractional):
U 0.122 0.250 0.125 x8
Pa 0.000 0.000 0.500 x4
C 0.063 0.182 0.820 x16

Main lines, sorted by position (10 to 90 degrees two-theta):
two_theta, d/Å, I_rel
29.7, 3.006, 100
29.9, 2.984, 47
38.6, 2.332, 40
39.1, 2.303, 20
46.1, 1.970, 12
46.2, 1.964, 12
46.5, 1.954, 12
55.7, 1.650, 13
55.9, 1.645, 13
56.4, 1.631, 12
59.1, 1.564, 15
64.4, 1.447, 15

***

# 5
For TbPrDy2Er4, a crystal structure in Alexandria, relaxed with GGA-PBE gives the computed powder XRD pattern in this record (CuKα).
Lines closer than 0.1° are merged.

Structure:
a = 13.548 Å, b = 13.238 Å, c = 6.777 Å
α = 90.00°, β = 120.01°, γ = 90.00°
Space group C2/c (No. 15)
Symmetry-distinct sites (fractional):
Tb 0.250 0.250 0.000 x4
Pr 0.000 0.000 0.000 x4
Dy 0.000 0.500 0.000 x4
Dy 0.250 0.250 0.500 x4
Er 0.000 0.253 0.000 x8
Er 0.247 0.500 0.495 x8

Main lines, sorted by position (10 to 90 degrees two-theta):
two_theta, d/Å, I_rel
26.9, 3.310, 46
30.5, 2.934, 100
41.1, 2.195, 89
54.1, 1.694, 20
55.5, 1.655, 6
61.5, 1.508, 27
63.4, 1.467, 12
64.7, 1.441, 23
70.2, 1.341, 18
81.3, 1.184, 12
88.1, 1.109, 10
89.2, 1.098, 10

***

# 6
For RbCd2Hg8, a crystal structure in Alexandria, relaxed with GGA-PBE gives the computed powder XRD pattern in this record (CuKα).
Lines closer than 0.1° are merged.

Structure:
a = 6.322 Å, b = 6.322 Å, c = 10.389 Å
α = 90.00°, β = 90.00°, γ = 90.00°
Space group P4/mmm (No. 123)
Symmetry-distinct sites (fractional):
Rb 0.000 0.000 0.000 x1
Cd 0.000 0.500 0.500 x2
Hg 0.253 0.253 0.285 x8

Main lines, sorted by position (10 to 90 degrees two-theta):
two_theta, d/Å, I_rel
17.1, 5.194, 50
28.2, 3.161, 40
33.2, 2.700, 100
34.5, 2.597, 13
38.6, 2.335, 27
40.3, 2.235, 35
44.1, 2.053, 19
52.7, 1.736, 15
54.1, 1.694, 14
58.4, 1.581, 12
60.9, 1.522, 14
68.8, 1.364, 25

***

# 7
For PuPdPtAu, a crystal structure in Alexandria, relaxed with GGA-PBE gives the computed powder XRD pattern in this record (CuKα).
Lines closer than 0.1° are merged.

Structure:
a = 4.022 Å, b = 4.283 Å, c = 4.379 Å
α = 90.00°, β = 90.00°, γ = 90.00°
Space group Pmmm (No. 47)
Symmetry-distinct sites (fractional):
Pu 0.000 0.000 0.000 x1
Pd 0.500 0.000 0.500 x1
Pt 0.500 0.500 0.000 x1
Au 0.000 0.500 0.500 x1

Main lines, sorted by position (10 to 90 degrees two-theta):
two_theta, d/Å, I_rel
29.2, 3.062, 3
36.9, 2.436, 100
41.2, 2.189, 18
42.2, 2.141, 17
45.1, 2.011, 14
60.5, 1.531, 12
62.7, 1.481, 11
63.5, 1.466, 10
72.3, 1.307, 14
73.7, 1.286, 14
77.8, 1.228, 12
78.5, 1.218, 12

***

# 8
For Ti3CS3, a crystal structure in Alexandria, relaxed with GGA-PBE gives the computed powder XRD pattern in this record (CuKα).
Lines closer than 0.1° are merged.

Structure:
a = 6.854 Å, b = 3.286 Å, c = 9.500 Å
α = 90.00°, β = 90.57°, γ = 90.00°
Space group P2_1/m (No. 11)
Symmetry-distinct sites (fractional):
Ti 0.101 0.250 0.389 x2
Ti 0.117 0.250 0.844 x2
Ti 0.324 0.750 0.622 x2
C 0.117 0.250 0.621 x2
S 0.135 0.250 0.127 x2
S 0.369 0.750 0.869 x2
S 0.379 0.750 0.372 x2

Main lines, sorted by position (10 to 90 degrees two-theta):
two_theta, d/Å, I_rel
12.9, 6.854, 12
16.0, 5.532, 10
31.6, 2.830, 6
35.8, 2.509, 7
37.9, 2.373, 100
39.5, 2.280, 7
41.7, 2.168, 5
53.5, 1.713, 8
54.5, 1.684, 18
54.9, 1.673, 17
56.0, 1.643, 11
69.6, 1.351, 9

***

# 9
For Ba5Mg, a crystal structure in Alexandria, relaxed with GGA-PBE gives the computed powder XRD pattern in this record (CuKα).
Lines closer than 0.1° are merged.

Structure:
a = 6.652 Å, b = 4.960 Å, c = 20.020 Å
α = 90.00°, β = 90.00°, γ = 90.00°
Space group Amm2 (No. 38)
Symmetry-distinct sites (fractional):
Ba 0.000 0.000 0.000 x2
Ba 0.000 0.000 0.298 x2
Ba 0.500 0.000 0.150 x2
Ba 0.500 0.000 0.482 x2
Ba 0.500 0.000 0.819 x2
Mg 0.000 0.000 0.649 x2

Main lines, sorted by position (10 to 90 degrees two-theta):
two_theta, d/Å, I_rel
22.2, 3.999, 7
26.1, 3.416, 100
26.8, 3.331, 45
36.2, 2.479, 14
38.2, 2.356, 16
45.6, 1.989, 24
46.8, 1.941, 14
46.9, 1.937, 20
53.7, 1.708, 12
59.2, 1.560, 10
62.0, 1.497, 6
72.7, 1.301, 9

***

# 10
For PrHo3Tm3, a crystal structure in Alexandria, relaxed with GGA-PBE gives the computed powder XRD pattern in this record (CuKα).
Lines closer than 0.1° are merged.

Structure:
a = 8.5632 Å, b = 8.5632 Å, c = 21.7044 Å
α = 90.00°, β = 90.00°, γ = 120.00°
Space group R-3 (No. 148, hexagonal axes)
Symmetry-distinct sites (fractional):
Pr 0.0000 0.0000 0.1507 x6
Ho 0.0572 0.4494 0.3791 x18
Tm 0.0058 0.2310 0.5592 x18

Main lines, sorted by position (10 to 90 degrees two-theta):
two_theta, d/Å, I_rel
24.2, 3.685, 22
29.2, 3.061, 28
31.3, 2.861, 36
32.2, 2.780, 100
32.4, 2.763, 80
33.0, 2.714, 53
38.2, 2.355, 24
41.2, 2.190, 15
53.5, 1.714, 19
56.9, 1.618, 19
58.0, 1.591, 16
66.9, 1.399, 15

***

# 11
For CuAg2Cl3, a crystal structure in Alexandria, relaxed with GGA-PBE gives the computed powder XRD pattern in this record (CuKα).
Lines closer than 0.1° are merged.

Structure:
a = 4.0201 Å, b = 4.0201 Å, c = 10.5658 Å
α = 90.00°, β = 90.00°, γ = 120.00°
Space group P3m1 (No. 156)
Symmetry-distinct sites (fractional):
Cu 0.0000 0.0000 0.0000 x1
Ag 0.3333 0.6667 0.6939 x1
Ag 0.6667 0.3333 0.3363 x1
Cl 0.0000 0.0000 0.2198 x1
Cl 0.3333 0.6667 0.9370 x1
Cl 0.6667 0.3333 0.5781 x1

Main lines, sorted by position (10 to 90 degrees two-theta):
two_theta, d/Å, I_rel
25.3, 3.522, 27
27.0, 3.307, 100
30.8, 2.907, 24
43.0, 2.104, 39
45.1, 2.010, 35
50.5, 1.806, 17
52.4, 1.746, 21
53.3, 1.718, 14
64.1, 1.454, 11
72.4, 1.306, 11
81.8, 1.178, 11
87.3, 1.117, 7